Record 1
For Li3MoN2, a crystal structure in the Materials Project, relaxed with PBE gives the computed PXRD pattern in this record (a wavelength of 1.5418 Å).
Peak positions follow from Bragg's law for the DFT cell and can differ from measured ones.

Crystal structure
```
48
Lattice="-4.9129 4.9129 4.9129 4.9129 -4.9129 4.9129 4.9129 4.9129 -4.9129" Properties=species:S:1:pos:R:3 pbc="T T T"
Li 6.4484 1.1480 -1.0829
Li 3.8300 -3.3773 3.7649
Li 3.7649 3.8300 -3.3773
Li 8.2902 1.1480 1.0829
Li 5.9957 -1.5355 3.7649
Li 3.7649 -1.0829 3.3773
Li 3.7649 1.0829 1.5355
Li 3.3773 3.7649 -1.0829
Li 5.9957 1.5355 1.1480
Li 3.7649 5.9957 -1.5355
Li 3.8300 3.3773 1.1480
Li 1.5355 3.7649 1.0829
Li 3.3773 1.1480 3.8300
Li 1.0829 1.5355 3.7649
Li 1.1480 -1.0829 6.4484
Li -1.0829 3.3773 3.7649
Li 1.5355 1.1480 5.9957
Li 1.1480 3.8300 3.3773
Li 1.1480 5.9957 1.5355
Li -1.0829 6.4484 1.1480
Li -3.3773 3.7649 3.8300
Li 1.1480 1.0829 8.2902
Li 1.0829 8.2902 1.1480
Li -1.5355 3.7649 5.9957
Mo 3.7724 1.1405 -1.1405
Mo 6.0533 -1.1405 1.1405
Mo 1.1405 1.1405 1.1405
Mo 1.1405 -1.1405 3.7724
Mo -1.1405 3.7724 1.1405
Mo 1.1405 6.0533 -1.1405
Mo -1.1405 1.1405 6.0533
Mo 3.7724 3.7724 3.7724
N 0.0000 0.0000 0.0000
N 4.9129 0.0000 0.0000
N 4.9129 2.4564 -2.2603
N 2.4564 2.2603 0.0000
N 2.2603 0.0000 2.4564
N 7.1731 0.0000 2.4564
N 2.4564 -2.2603 4.9129
N 0.0000 2.4564 2.2603
N 0.0000 4.9129 0.0000
N 0.0000 0.0000 4.9129
N 4.9129 2.4564 2.6526
N 2.4564 7.1731 0.0000
N -2.2603 4.9129 2.4564
N 2.6526 4.9129 2.4564
N 2.4564 2.6526 4.9129
N 0.0000 2.4564 7.1731
```

Most intense lines, 2θ from 15° to 90°, in order of rising 2θ:
| 2θ/deg | I_rel |
| --- | --- |
| 22.2 | 100 |
| 34.1 | 66 |
| 36.6 | 21 |
| 43.2 | 18 |
| 50.9 | 15 |
| 52.7 | 33 |
| 57.8 | 21 |
| 64.3 | 12 |
| 70.4 | 15 |
| 76.3 | 11 |

=====

Record 2
For Li3Mo6S8, a crystal structure in the Materials Project, relaxed with PBE gives the computed PXRD pattern in this record (a wavelength of 1.5418 Å).
Peak positions follow from Bragg's law for the DFT cell and can differ from measured ones.

Crystal structure
```
34
Lattice="6.6678 0.0000 0.0000 -0.6608 6.6435 0.0000 -0.8816 -1.0294 13.2778" Properties=species:S:1:pos:R:3 pbc="T T T"
Li 0.0000 0.0000 0.0000
Li -0.7237 0.0718 10.0209
Li -0.2210 2.2505 3.7273
Li 0.2627 5.7218 3.7700
Li 1.5716 5.4807 10.7004
Li 6.1385 -0.4758 6.6261
Mo 0.9488 2.0776 7.5680
Mo 1.4199 2.5360 0.9295
Mo 2.2054 3.1449 5.4566
Mo 1.7858 2.5901 12.0874
Mo 2.1767 4.4472 7.8284
Mo 2.6791 4.9005 1.2050
Mo 3.2047 0.9452 6.6450
Mo 3.6788 1.4365 0.0188
Mo 3.2010 2.2589 9.0392
Mo 3.6682 2.7204 2.3936
Mo 4.4256 3.3390 6.9264
Mo 4.9349 3.7871 0.2808
S 0.1825 4.1753 6.4059
S -0.2053 3.5987 13.0831
S 1.0914 0.9286 5.3636
S 0.6924 0.3816 11.9932
S 1.0410 3.2697 9.7081
S 1.5142 3.7738 3.0573
S 1.9939 0.1324 8.6792
S 2.4642 0.5979 2.0642
S 3.3498 5.2739 5.7873
S 2.9834 4.7221 12.4703
S 4.3375 2.0710 4.8116
S 3.9619 1.5460 11.4232
S 4.2641 4.4897 9.1134
S 4.8100 4.8981 2.4736
S 5.2123 1.2438 8.0379
S 5.6900 1.7057 1.4230
```

Most intense lines, 2θ from 15° to 90°, in order of rising 2θ:
| 2θ/deg | I_rel |
| --- | --- |
| 29.2 | 64 |
| 33.0 | 59 |
| 35.5 | 69 |
| 38.8 | 58 |
| 39.2 | 63 |
| 39.6 | 61 |
| 44.7 | 97 |
| 44.8 | 100 |
| 45.5 | 93 |
| 49.4 | 60 |

=====

Record 3
For Li7Mo12S16, a crystal structure in the Materials Project, relaxed with PBE gives the computed PXRD pattern in this record (a wavelength of 1.5418 Å).
Peak positions follow from Bragg's law for the DFT cell and can differ from measured ones.

Crystal structure
```
35
Lattice="6.6784 0.0000 0.0000 -0.5752 6.6688 0.0000 -0.9811 -1.1521 13.3101" Properties=species:S:1:pos:R:3 pbc="T T T"
Li 0.0000 0.0000 0.0000
Li -1.0557 6.0793 6.6010
Li -1.0924 2.9431 10.7232
Li -0.2694 -0.3255 9.7174
Li 1.9936 5.9946 3.9872
Li 3.2493 -0.8890 10.4125
Li 5.8938 0.4382 3.5468
Mo 1.4217 2.5491 0.8751
Mo 0.9276 1.9892 7.5138
Mo 2.2056 3.0491 5.4058
Mo 1.7219 2.4613 12.0908
Mo 2.1865 4.3238 7.7794
Mo 2.6731 4.9053 1.1547
Mo 2.6976 0.2628 13.2869
Mo 3.1867 0.8613 6.6060
Mo 3.1637 2.1313 8.9795
Mo 3.6545 2.7157 2.3574
Mo 4.9285 3.7750 0.2710
Mo 4.4615 3.2116 6.8824
S -0.3184 3.4870 13.0439
S 0.1902 4.0564 6.3618
S 1.0729 0.8659 5.2948
S 0.6095 0.2628 11.9673
S 1.4956 3.7670 3.0137
S 1.0313 3.2206 9.6585
S 1.9349 -0.0002 8.6119
S 2.4485 0.5869 1.9600
S 2.9338 4.5878 12.4667
S 3.4335 5.1846 5.7740
S 3.8682 1.3691 11.3954
S 4.3873 1.9881 4.7651
S 4.7499 4.9142 2.4461
S 4.3148 4.3531 9.0825
S 5.2037 1.1047 8.0412
S 5.6956 1.6799 1.4002
```

Most intense lines, 2θ from 15° to 90°, in order of rising 2θ:
| 2θ/deg | I_rel |
| --- | --- |
| 35.4 | 58 |
| 38.9 | 37 |
| 39.1 | 38 |
| 39.2 | 36 |
| 41.8 | 44 |
| 43.9 | 44 |
| 44.8 | 100 |
| 45.1 | 42 |
| 49.6 | 37 |
| 49.8 | 58 |

=====

Record 4
For LiMo6Se2S6, a crystal structure in the Materials Project, relaxed with PBE gives the computed PXRD pattern in this record (a wavelength of 1.5418 Å).
Peak positions follow from Bragg's law for the DFT cell and can differ from measured ones.

Crystal structure
```
15
Lattice="4.6788 2.7013 3.7247 -4.6788 2.7013 3.7247 0.0000 -5.4026 3.7247" Properties=species:S:1:pos:R:3 pbc="T T T"
Li 0.0000 0.0000 0.0000
Mo -0.9056 -1.3080 4.4107
Mo -0.6799 1.4383 4.4107
Mo -1.5856 0.1303 6.7635
Mo 1.5855 -0.1303 4.4107
Mo 0.6799 -1.4383 6.7635
Mo 0.9056 1.3080 6.7635
Se 0.0000 0.0000 2.4268
Se 0.0000 0.0000 8.7474
S -2.8052 0.2572 4.6441
S -1.6254 -2.3007 6.5301
S 1.1798 -2.5580 4.6441
S -1.1798 2.5580 6.5301
S 1.6254 2.3007 4.6441
S 2.8052 -0.2572 6.5301
```

Most intense lines, 2θ from 15° to 90°, in order of rising 2θ:
| 2θ/deg | I_rel |
| --- | --- |
| 19.0 | 31 |
| 30.3 | 44 |
| 33.4 | 100 |
| 41.0 | 55 |
| 41.9 | 49 |
| 43.4 | 31 |
| 43.9 | 38 |
| 45.8 | 98 |
| 51.8 | 38 |
| 59.7 | 22 |